Entry 1:
# ScTeRhO6
Simulated XRD peak list, a wavelength of 1.5418 Å. Input: the PBE geometry in Alexandria.

Principal peaks in the range 2θ from 5° to 70°, in order of rising 2θ:
2θ (°), I (rel.), hkl
20.57, 4, 0 0 2
22.03, 27, 1 0 1
28.46, 100, 1 0 2
34.01, 43, 1 1 0
36.92, 6, 1 0 3
40.08, 11, 1 1 2
41.85, 5, 0 0 4
44.92, 28, 2 0 2
54.99, 42, 1 1 4
57.52, 26, 2 1 2
60.88, 19, 3 0 0
68.35, 8, 1 0 6

Cell and atoms:
a = 5.2714 Å, b = 5.2714 Å, c = 8.6339 Å
α = 90.00°, β = 90.00°, γ = 120.00°
Space group P-31c (No. 163)
Unique sites:
Sc1 0.3333 0.6667 0.2500
Te1 0.3333 0.6667 0.7500
Rh1 0.0000 0.0000 0.0000
O1 0.0189 0.3505 0.6267

Entry 2:
# TbHo3Tm3
Simulated XRD peak list, a wavelength of 1.5418 Å. Input: the PBE geometry in Alexandria.

Principal peaks in the range 2θ from 5° to 70°, in order of rising 2θ:
2θ (°), I (rel.), hkl
28.81, 24, 2 1 0
32.12, 24, 0 0 2
33.07, 100, 2 1 1
43.68, 16, 2 1 2
51.04, 20, 1 4 0
57.87, 20, 2 1 3
59.67, 3, 4 2 0
61.59, 23, 1 4 2
62.17, 16, 4 2 1
67.18, 3, 0 0 4
69.39, 4, 4 2 2

Cell and atoms:
a = 9.4688 Å, b = 9.4688 Å, c = 5.5735 Å
α = 90.00°, β = 90.00°, γ = 120.00°
Space group P6_3/m (No. 176)
Unique sites:
Tb1 0.3333 0.6667 0.2500
Ho1 0.0479 0.2383 0.2500
Tm1 0.0951 0.4763 0.7500

Entry 3:
# Dy3Y2Tm2
Simulated XRD peak list, a wavelength of 1.5418 Å. Input: the PBE geometry in Alexandria.

Principal peaks in the range 2θ from 5° to 70°, in order of rising 2θ:
2θ (°), I (rel.), hkl
12.37, 2, 2 0 0
13.13, 4, 2 0 -1
26.01, 1, 1 1 0
30.98, 100, 4 0 1
35.87, 18, 6 0 -2
35.96, 34, 1 1 2
51.70, 30, 7 1 0
51.82, 6, 0 2 0
61.47, 21, 5 1 3
61.58, 21, 4 2 1
64.53, 6, 8 0 2
64.63, 6, 6 2 -2

Cell and atoms:
a = 15.4319 Å, b = 3.5285 Å, c = 8.6624 Å
α = 90.00°, β = 112.02°, γ = 90.00°
Space group C2/m (No. 12)
Unique sites:
Dy1 0.0000 0.0000 0.0000
Dy2 0.2135 0.5000 0.1431
Y1 0.0713 0.5000 0.7129
Tm1 0.1442 0.0000 0.4283